1.
Starting from DFT lattice parameters and positions (GGA-PBE), the XRD peak list of Cs2YTl was calculated for Cu Kα (weighted mean of Kα1 and Kα2).

Principal peaks in the range 2θ from 10° to 90°, sorted by position:
| 2θ/deg | I/Imax |
| --- | --- |
| 12.4 | 690 |
| 16.2 | 614 |
| 17.5 | 355 |
| 19.6 | 502 |
| 20.4 | 371 |
| 24.9 | 346 |
| 27.9 | 1000 |
| 29.8 | 340 |
| 31.5 | 412 |
| 36.3 | 453 |

Structural model:
```
data_Cs2YTl
_chemical_formula_sum 'Cs8 Y4 Tl4'
_space_group_name_H-M_alt 'I -4 2 d'
_space_group_IT_number 122
_space_group_name_Hall 'I -4 2bw'
_cell_length_a 14.322
_cell_length_b 14.322
_cell_length_c 5.916
_cell_angle_alpha 90.00
_cell_angle_beta 90.00
_cell_angle_gamma 90.00
loop_
_atom_site_label
_atom_site_type_symbol
_atom_site_fract_x
_atom_site_fract_y
_atom_site_fract_z
Cs1 Cs 0.100 0.250 0.125
Y1 Y 0.000 0.000 0.500
Tl1 Tl 0.000 0.000 0.000
```

2.
Starting from DFT lattice parameters and positions (GGA-PBE), the XRD peak list of Dy8Ir2Au was calculated for Cu Kα (weighted mean of Kα1 and Kα2).

Principal peaks in the range 2θ from 10° to 90°, sorted by position:
| 2θ/deg | I/Imax |
| --- | --- |
| 30.3 | 461 |
| 30.6 | 453 |
| 32.1 | 365 |
| 32.4 | 819 |
| 33.1 | 738 |
| 35.5 | 392 |
| 35.6 | 603 |
| 36.8 | 386 |
| 39.1 | 1000 |
| 66.7 | 250 |

Structural model:
```
data_Dy8Ir2Au
_chemical_formula_sum 'Dy16 Ir4 Au2'
_space_group_name_H-M_alt 'C 1 m 1'
_space_group_IT_number 8
_space_group_name_Hall 'C -2y'
_cell_length_a 8.525
_cell_length_b 12.786
_cell_length_c 5.726
_cell_angle_alpha 90.00
_cell_angle_beta 106.01
_cell_angle_gamma 90.00
loop_
_atom_site_label
_atom_site_type_symbol
_atom_site_fract_x
_atom_site_fract_y
_atom_site_fract_z
Dy1 Dy 0.000 0.000 0.000
Dy2 Dy 0.073 0.369 0.786
Dy3 Dy 0.165 0.131 0.600
Dy4 Dy 0.245 0.500 0.383
Dy5 Dy 0.370 0.233 0.190
Ir1 Ir 0.370 0.309 0.692
Au1 Au 0.373 0.000 0.080
```